# 1
Calculated X-ray powder pattern of Ba2Ac4Ru for Cu Kα (λ = 1.5418 Å), from a PBE-relaxed structure.

Largest 8 diffraction maxima, in order of rising 2θ, 2θ from 15° to 90°:
two_theta	I/Imax
15.7	31.2
23.1	51.8
25.7	35.3
27.5	100.0
30.5	74.4
40.3	43.4
43.6	28.2
52.3	35.2

Crystal structure
```
data_Ba2Ac4Ru
_chemical_formula_sum 'Ba2 Ac4 Ru1'
_space_group_name_H-M_alt 'P 1'
_space_group_IT_number 1
_cell_length_a 11.206
_cell_length_b 11.206
_cell_length_c 11.206
_cell_angle_alpha 149.64
_cell_angle_beta 149.64
_cell_angle_gamma 43.47
loop_
_space_group_symop_operation_xyz
'x,y,z'
loop_
_atom_site_label
_atom_site_type_symbol
_atom_site_fract_x
_atom_site_fract_y
_atom_site_fract_z
Ba1 Ba 0.165 0.165 0.000
Ba2 Ba 0.835 0.835 0.000
Ac1 Ac 0.000 0.500 0.500
Ac2 Ac 0.364 0.364 0.000
Ac3 Ac 0.500 0.000 0.500
Ac4 Ac 0.636 0.636 0.000
Ru1 Ru 0.500 0.500 0.000
```

# 2
Calculated X-ray powder pattern of Ba4Ac3S8 for Cu Kα (λ = 1.5418 Å), from a PBE-relaxed structure.

Largest 8 diffraction maxima, in order of rising 2θ, 2θ from 15° to 90°:
two_theta	I/Imax
24.6	100.0
28.3	45.9
28.5	45.1
28.7	44.3
40.6	51.1
40.9	50.2
50.4	18.0
50.5	18.0

Crystal structure
```
data_Ba4Ac3S8
_chemical_formula_sum 'Ba4 Ac3 S8'
_space_group_name_H-M_alt 'P 1'
_space_group_IT_number 1
_cell_length_a 8.831
_cell_length_b 8.831
_cell_length_c 8.844
_cell_angle_alpha 119.60
_cell_angle_beta 119.60
_cell_angle_gamma 90.35
loop_
_space_group_symop_operation_xyz
'x,y,z'
loop_
_atom_site_label
_atom_site_type_symbol
_atom_site_fract_x
_atom_site_fract_y
_atom_site_fract_z
Ba1 Ba 0.000 0.000 0.000
Ba2 Ba 0.000 0.500 0.000
Ba3 Ba 0.500 0.000 0.000
Ba4 Ba 0.500 0.500 0.500
Ac1 Ac 0.000 0.500 0.500
Ac2 Ac 0.500 0.000 0.500
Ac3 Ac 0.500 0.500 0.000
S1 S 0.252 0.748 0.500
S2 S 0.256 0.744 0.000
S3 S 0.257 0.257 0.514
S4 S 0.266 0.266 0.011
S5 S 0.734 0.734 0.989
S6 S 0.743 0.743 0.486
S7 S 0.744 0.256 0.000
S8 S 0.748 0.252 0.500
```

# 3
Calculated X-ray powder pattern of BaAc5S6 for Cu Kα (λ = 1.5418 Å), from a PBE-relaxed structure.

Largest 8 diffraction maxima, in order of rising 2θ, 2θ from 15° to 90°:
two_theta	I/Imax
25.1	24.5
25.1	72.6
29.1	100.0
41.6	75.7
49.2	51.4
51.6	27.1
68.3	29.3
76.0	24.1

Crystal structure
```
data_BaAc5S6
_chemical_formula_sum 'Ba1 Ac5 S6'
_space_group_name_H-M_alt 'P 1'
_space_group_IT_number 1
_cell_length_a 7.517
_cell_length_b 7.517
_cell_length_c 7.512
_cell_angle_alpha 99.56
_cell_angle_beta 99.56
_cell_angle_gamma 120.00
loop_
_space_group_symop_operation_xyz
'x,y,z'
loop_
_atom_site_label
_atom_site_type_symbol
_atom_site_fract_x
_atom_site_fract_y
_atom_site_fract_z
Ba1 Ba 0.000 0.000 0.000
Ac1 Ac 0.164 0.836 0.500
Ac2 Ac 0.333 0.667 0.000
Ac3 Ac 0.500 0.500 0.500
Ac4 Ac 0.667 0.333 0.000
Ac5 Ac 0.836 0.164 0.500
S1 S 0.085 0.427 0.256
S2 S 0.257 0.257 0.748
S3 S 0.427 0.085 0.256
S4 S 0.573 0.915 0.744
S5 S 0.743 0.743 0.252
S6 S 0.915 0.573 0.744
```

# 4
Calculated X-ray powder pattern of BaAc2SeS5 for Cu Kα (λ = 1.5418 Å), from a PBE-relaxed structure.

Largest 8 diffraction maxima, in order of rising 2θ, 2θ from 15° to 90°:
two_theta	I/Imax
23.6	40.9
24.6	64.1
24.9	64.8
30.1	100.0
34.4	33.1
38.6	52.8
42.2	30.6
48.4	30.4

Crystal structure
```
data_BaAc2SeS5
_chemical_formula_sum 'Ba2 Ac4 Se2 S10'
_space_group_name_H-M_alt 'P 1'
_space_group_IT_number 1
_cell_length_a 9.525
_cell_length_b 9.525
_cell_length_c 9.525
_cell_angle_alpha 128.74
_cell_angle_beta 128.74
_cell_angle_gamma 75.42
loop_
_space_group_symop_operation_xyz
'x,y,z'
loop_
_atom_site_label
_atom_site_type_symbol
_atom_site_fract_x
_atom_site_fract_y
_atom_site_fract_z
Ba1 Ba 0.250 0.250 0.000
Ba2 Ba 0.750 0.750 0.000
Ac1 Ac 0.159 0.659 0.817
Ac2 Ac 0.341 0.159 0.500
Ac3 Ac 0.659 0.841 0.500
Ac4 Ac 0.841 0.341 0.183
Se1 Se 0.250 0.750 0.500
Se2 Se 0.750 0.250 0.500
S1 S 0.000 0.000 0.000
S2 S 0.023 0.231 0.500
S3 S 0.231 0.731 0.208
S4 S 0.269 0.477 0.500
S5 S 0.477 0.977 0.208
S6 S 0.500 0.500 0.000
S7 S 0.523 0.023 0.792
S8 S 0.731 0.523 0.500
S9 S 0.769 0.269 0.792
S10 S 0.977 0.769 0.500
```

# 5
Calculated X-ray powder pattern of BaAc3Sb4 for Cu Kα (λ = 1.5418 Å), from a PBE-relaxed structure.

Largest 8 diffraction maxima, in order of rising 2θ, 2θ from 15° to 90°:
two_theta	I/Imax
26.0	100.0
37.1	65.9
45.8	14.4
45.9	14.5
53.4	13.8
60.3	31.8
66.8	14.0
66.9	14.2

Crystal structure
```
data_BaAc3Sb4
_chemical_formula_sum 'Ba1 Ac3 Sb4'
_space_group_name_H-M_alt 'P 1'
_space_group_IT_number 1
_cell_length_a 8.405
_cell_length_b 8.405
_cell_length_c 4.841
_cell_angle_alpha 90.00
_cell_angle_beta 90.00
_cell_angle_gamma 109.41
loop_
_space_group_symop_operation_xyz
'x,y,z'
loop_
_atom_site_label
_atom_site_type_symbol
_atom_site_fract_x
_atom_site_fract_y
_atom_site_fract_z
Ba1 Ba 0.000 0.000 0.000
Ac1 Ac 0.000 0.500 0.500
Ac2 Ac 0.500 0.000 0.500
Ac3 Ac 0.500 0.500 0.000
Sb1 Sb 0.254 0.746 0.000
Sb2 Sb 0.260 0.260 0.500
Sb3 Sb 0.740 0.740 0.500
Sb4 Sb 0.746 0.254 0.000
```

# 6
Calculated X-ray powder pattern of BaAcSnSb for Cu Kα (λ = 1.5418 Å), from a PBE-relaxed structure.

Largest 8 diffraction maxima, in order of rising 2θ, 2θ from 15° to 90°:
two_theta	I/Imax
18.4	4.6
30.3	100.0
43.4	18.9
53.8	40.3
63.0	12.6
71.5	17.5
79.6	4.4
87.5	21.6

Crystal structure
```
data_BaAcSnSb
_chemical_formula_sum 'Ba1 Ac1 Sn1 Sb1'
_space_group_name_H-M_alt 'P 1'
_space_group_IT_number 1
_cell_length_a 5.901
_cell_length_b 5.901
_cell_length_c 5.901
_cell_angle_alpha 60.00
_cell_angle_beta 60.00
_cell_angle_gamma 60.00
loop_
_space_group_symop_operation_xyz
'x,y,z'
loop_
_atom_site_label
_atom_site_type_symbol
_atom_site_fract_x
_atom_site_fract_y
_atom_site_fract_z
Ba1 Ba 0.000 0.000 0.000
Ac1 Ac 0.500 0.500 0.500
Sn1 Sn 0.750 0.750 0.750
Sb1 Sb 0.250 0.250 0.250
```

# 7
Calculated X-ray powder pattern of BaAcTlSb for Cu Kα (λ = 1.5418 Å), from a PBE-relaxed structure.

Largest 8 diffraction maxima, in order of rising 2θ, 2θ from 15° to 90°:
two_theta	I/Imax
18.4	6.4
30.3	100.0
43.4	18.9
53.8	40.4
63.0	12.6
71.5	17.5
79.5	4.4
87.4	21.4

Crystal structure
```
data_BaAcTlSb
_chemical_formula_sum 'Ba1 Ac1 Tl1 Sb1'
_space_group_name_H-M_alt 'P 1'
_space_group_IT_number 1
_cell_length_a 5.903
_cell_length_b 5.903
_cell_length_c 5.903
_cell_angle_alpha 60.00
_cell_angle_beta 60.00
_cell_angle_gamma 60.00
loop_
_space_group_symop_operation_xyz
'x,y,z'
loop_
_atom_site_label
_atom_site_type_symbol
_atom_site_fract_x
_atom_site_fract_y
_atom_site_fract_z
Ba1 Ba 0.000 0.000 0.000
Ac1 Ac 0.500 0.500 0.500
Tl1 Tl 0.250 0.250 0.250
Sb1 Sb 0.750 0.750 0.750
```

# 8
Calculated X-ray powder pattern of BaAc4Se7 for Cu Kα (λ = 1.5418 Å), from a PBE-relaxed structure.

Largest 8 diffraction maxima, in order of rising 2θ, 2θ from 15° to 90°:
two_theta	I/Imax
21.1	100.0
21.3	68.4
27.2	50.9
27.6	48.6
28.6	69.1
29.8	52.9
36.9	50.3
41.0	47.9

Crystal structure
```
data_BaAc4Se7
_chemical_formula_sum 'Ba1 Ac4 Se7'
_space_group_name_H-M_alt 'P 1'
_space_group_IT_number 1
_cell_length_a 7.739
_cell_length_b 7.739
_cell_length_c 13.176
_cell_angle_alpha 105.15
_cell_angle_beta 105.15
_cell_angle_gamma 33.02
loop_
_space_group_symop_operation_xyz
'x,y,z'
loop_
_atom_site_label
_atom_site_type_symbol
_atom_site_fract_x
_atom_site_fract_y
_atom_site_fract_z
Ba1 Ba 0.000 0.000 0.000
Ac1 Ac 0.127 0.127 0.420
Ac2 Ac 0.225 0.225 0.838
Ac3 Ac 0.432 0.432 0.625
Ac4 Ac 0.821 0.821 0.235
Se1 Se 0.075 0.075 0.627
Se2 Se 0.171 0.171 0.209
Se3 Se 0.362 0.362 0.068
Se4 Se 0.469 0.469 0.372
Se5 Se 0.592 0.592 0.875
Se6 Se 0.786 0.786 0.472
Se7 Se 0.845 0.845 0.763
```

# 9
Calculated X-ray powder pattern of Ba2Sr3AcSe6 for Cu Kα (λ = 1.5418 Å), from a PBE-relaxed structure.

Largest 8 diffraction maxima, in order of rising 2θ, 2θ from 15° to 90°:
two_theta	I/Imax
27.8	100.0
39.7	38.0
39.8	37.9
49.2	20.3
57.4	12.7
64.9	11.6
65.0	17.4
72.2	10.7

Crystal structure
```
data_Ba2Sr3AcSe6
_chemical_formula_sum 'Ba2 Sr3 Ac1 Se6'
_space_group_name_H-M_alt 'P 1'
_space_group_IT_number 1
_cell_length_a 10.137
_cell_length_b 10.137
_cell_length_c 9.096
_cell_angle_alpha 102.81
_cell_angle_beta 102.81
_cell_angle_gamma 25.83
loop_
_space_group_symop_operation_xyz
'x,y,z'
loop_
_atom_site_label
_atom_site_type_symbol
_atom_site_fract_x
_atom_site_fract_y
_atom_site_fract_z
Ba1 Ba 0.167 0.167 0.335
Ba2 Ba 0.833 0.833 0.665
Sr1 Sr 0.168 0.168 0.833
Sr2 Sr 0.500 0.500 0.500
Sr3 Sr 0.832 0.832 0.167
Ac1 Ac 0.500 0.500 0.000
Se1 Se 0.004 0.004 0.755
Se2 Se 0.336 0.336 0.928
Se3 Se 0.338 0.338 0.407
Se4 Se 0.662 0.662 0.593
Se5 Se 0.664 0.664 0.072
Se6 Se 0.996 0.996 0.245
```

# 10
Calculated X-ray powder pattern of BaAcSi2 for Cu Kα (λ = 1.5418 Å), from a PBE-relaxed structure.

Largest 8 diffraction maxima, in order of rising 2θ, 2θ from 15° to 90°:
two_theta	I/Imax
25.6	37.6
27.5	100.0
29.3	66.0
29.5	77.0
32.5	37.6
33.0	50.4
36.8	37.7
46.9	35.4

Crystal structure
```
data_BaAcSi2
_chemical_formula_sum 'Ba2 Ac2 Si4'
_space_group_name_H-M_alt 'P 1'
_space_group_IT_number 1
_cell_length_a 4.144
_cell_length_b 6.421
_cell_length_c 8.993
_cell_angle_alpha 90.00
_cell_angle_beta 90.00
_cell_angle_gamma 90.00
loop_
_space_group_symop_operation_xyz
'x,y,z'
loop_
_atom_site_label
_atom_site_type_symbol
_atom_site_fract_x
_atom_site_fract_y
_atom_site_fract_z
Ba1 Ba 0.000 0.135 0.000
Ba2 Ba 0.000 0.865 0.500
Ac1 Ac 0.500 0.358 0.360
Ac2 Ac 0.500 0.642 0.860
Si1 Si 0.000 0.375 0.648
Si2 Si 0.000 0.625 0.148
Si3 Si 0.500 0.165 0.703
Si4 Si 0.500 0.835 0.203
```

# 11
Calculated X-ray powder pattern of BaAc12Si6 for Cu Kα (λ = 1.5418 Å), from a PBE-relaxed structure.

Largest 8 diffraction maxima, in order of rising 2θ, 2θ from 15° to 90°:
two_theta	I/Imax
20.5	27.7
25.6	45.9
26.4	100.0
30.9	79.3
32.0	26.6
36.8	22.9
38.6	30.1
51.0	36.2

Crystal structure
```
data_BaAc12Si6
_chemical_formula_sum 'Ba1 Ac12 Si6'
_space_group_name_H-M_alt 'P 1'
_space_group_IT_number 1
_cell_length_a 9.332
_cell_length_b 9.332
_cell_length_c 9.332
_cell_angle_alpha 103.29
_cell_angle_beta 103.29
_cell_angle_gamma 103.29
loop_
_space_group_symop_operation_xyz
'x,y,z'
loop_
_atom_site_label
_atom_site_type_symbol
_atom_site_fract_x
_atom_site_fract_y
_atom_site_fract_z
Ba1 Ba 0.000 0.000 0.000
Ac1 Ac 0.126 0.500 0.874
Ac2 Ac 0.126 0.874 0.500
Ac3 Ac 0.181 0.454 0.454
Ac4 Ac 0.454 0.181 0.454
Ac5 Ac 0.454 0.454 0.181
Ac6 Ac 0.500 0.126 0.874
Ac7 Ac 0.500 0.874 0.126
Ac8 Ac 0.546 0.546 0.819
Ac9 Ac 0.546 0.819 0.546
Ac10 Ac 0.819 0.546 0.546
Ac11 Ac 0.874 0.126 0.500
Ac12 Ac 0.874 0.500 0.126
Si1 Si 0.245 0.245 0.687
Si2 Si 0.245 0.687 0.245
Si3 Si 0.313 0.755 0.755
Si4 Si 0.687 0.245 0.245
Si5 Si 0.755 0.313 0.755
Si6 Si 0.755 0.755 0.313
```

# 12
Calculated X-ray powder pattern of Ba2AcSi2 for Cu Kα (λ = 1.5418 Å), from a PBE-relaxed structure.

Largest 8 diffraction maxima, in order of rising 2θ, 2θ from 15° to 90°:
two_theta	I/Imax
20.6	24.7
24.0	54.8
26.2	100.0
27.3	76.2
28.4	45.4
30.1	55.9
32.6	29.3
33.0	49.0

Crystal structure
```
data_Ba2AcSi2
_chemical_formula_sum 'Ba4 Ac2 Si4'
_space_group_name_H-M_alt 'P 1'
_space_group_IT_number 1
_cell_length_a 6.942
_cell_length_b 6.942
_cell_length_c 8.837
_cell_angle_alpha 101.03
_cell_angle_beta 101.03
_cell_angle_gamma 61.00
loop_
_space_group_symop_operation_xyz
'x,y,z'
loop_
_atom_site_label
_atom_site_type_symbol
_atom_site_fract_x
_atom_site_fract_y
_atom_site_fract_z
Ba1 Ba 0.034 0.271 0.148
Ba2 Ba 0.271 0.034 0.648
Ba3 Ba 0.729 0.966 0.352
Ba4 Ba 0.966 0.729 0.852
Ac1 Ac 0.415 0.585 0.250
Ac2 Ac 0.585 0.415 0.750
Si1 Si 0.174 0.505 0.494
Si2 Si 0.495 0.826 0.006
Si3 Si 0.505 0.174 0.994
Si4 Si 0.826 0.495 0.506
```